# LiNbSn3P6O24
Calculated PXRD pattern, Cu Ka. Input: a structure optimized by DFT (GGA-PBE).
Intensities are scaled so that the largest is 100.

Cell and atoms:
```
LiNbSn3P6O24
1.0
8.634 0.000 0.000
-4.291 7.507 0.000
-0.031 -4.955 7.533
Li Nb Sn P O
1 1 3 6 24
Cartesian
0.000 0.000 0.000
-0.649 3.867 0.143
3.593 -3.613 6.704
3.657 1.351 3.992
7.887 -1.136 2.955
0.553 -3.317 5.344
2.325 -0.737 1.520
0.566 1.027 5.307
2.460 3.537 1.539
5.429 -1.150 5.269
6.087 1.332 1.549
-1.907 2.706 1.162
0.053 -2.630 4.082
-0.145 -2.789 6.641
-3.440 6.325 1.649
0.119 0.383 3.987
2.074 -3.119 5.428
-1.139 5.508 1.125
2.254 0.270 0.339
0.475 -0.038 6.459
-0.377 2.193 5.623
0.907 3.466 1.285
2.926 -0.182 2.803
2.027 1.488 5.229
3.222 2.996 0.323
2.724 2.760 2.831
4.890 -2.561 5.546
5.130 0.819 0.466
4.325 -0.081 5.298
2.806 5.026 1.647
6.095 -1.164 3.884
5.422 1.510 2.919
7.273 0.323 1.586
4.514 2.681 5.361
6.485 -0.784 6.357
```

Top 6 peaks for 15° ≤ 2θ ≤ 90°, sorted by position:
2θ = 19.68°, I = 100
2θ = 20.53°, I = 72
2θ = 23.76°, I = 33
2θ = 28.46°, I = 21
2θ = 31.53°, I = 28
2θ = 35.50°, I = 22